(1)
Simulated powder X-ray diffraction pattern of La2Ta for a wavelength of 1.5418 Å, from a structure optimized by DFT (GGA-PBE).
Kinematic intensities with the Lorentz-polarization factor, no thermal factor.

a = 8.7640 Å, b = 8.7640 Å, c = 8.7640 Å
α = 90.00°, β = 90.00°, γ = 90.00°
Space group Fd-3m (No. 227, origin choice 2)
Symmetry-distinct sites (fractional):
La: 0.0000 0.0000 0.0000 [16 per cell]
Ta: 0.1250 0.1250 0.6250 [8 per cell]

Principal peaks in the range 5 to 70 degrees two-theta, low angle first:
- 28.81°, I 35
- 33.92°, I 100
- 35.48°, I 32
- 41.20°, I 2
- 51.05°, I 15
- 54.40°, I 35
- 59.68°, I 29
- 67.61°, I 6

=====

(2)
Simulated powder X-ray diffraction pattern of Cu2Ag3 for a wavelength of 1.5418 Å, from a structure optimized by DFT (GGA-PBE).
Kinematic intensities with the Lorentz-polarization factor, no thermal factor.

```
data_Cu2Ag3
_cell_length_a 22.8529
_cell_length_b 2.8648
_cell_length_c 4.7939
_cell_angle_alpha 90.00
_cell_angle_beta 96.48
_cell_angle_gamma 90.00
_symmetry_space_group_name_H-M 'C 1 2/m 1'
_symmetry_Int_Tables_number 12
loop_
_symmetry_equiv_pos_as_xyz
'x,y,z'
'-x,-y,-z'
'-x,y,-z'
'x,-y,z'
'x+1/2,y+1/2,z'
'-x+1/2,-y+1/2,-z'
'-x+1/2,y+1/2,-z'
'x+1/2,-y+1/2,z'
loop_
_atom_site_label
_atom_site_fract_x
_atom_site_fract_y
_atom_site_fract_z
Cu1 0.1007 0.0000 0.2012
Cu2 0.2046 0.0000 0.9030
Ag1 0.0000 0.0000 0.5000
Ag2 0.0000 0.5000 0.0000
Ag3 0.1058 0.5000 0.7155
Ag4 0.1986 0.5000 0.3827
```

Principal peaks in the range 5 to 70 degrees two-theta, low angle first:
- 31.82°, I 4
- 39.23°, I 100
- 39.34°, I 50
- 39.69°, I 47
- 44.99°, I 67
- 47.34°, I 27
- 65.12°, I 11
- 65.92°, I 10
- 67.12°, I 18
- 67.61°, I 17

=====

(3)
Simulated powder X-ray diffraction pattern of CsZn for a wavelength of 1.5418 Å, from a structure optimized by DFT (GGA-PBE).
Kinematic intensities with the Lorentz-polarization factor, no thermal factor.

```
data_CsZn
_cell_length_a 6.9034
_cell_length_b 4.9404
_cell_length_c 15.2950
_cell_angle_alpha 90.00
_cell_angle_beta 93.16
_cell_angle_gamma 90.00
_symmetry_space_group_name_H-M 'P 1 m 1'
_symmetry_Int_Tables_number 6
loop_
_symmetry_equiv_pos_as_xyz
'x,y,z'
'x,-y,z'
loop_
_atom_site_label
_atom_site_fract_x
_atom_site_fract_y
_atom_site_fract_z
Cs1 0.0000 0.0000 0.0000
Cs2 0.0151 0.5000 0.7723
Cs3 0.0494 0.0000 0.4024
Cs4 0.4781 0.0000 0.7483
Cs5 0.5135 0.0000 0.1204
Cs6 0.5399 0.5000 0.3388
Zn1 0.0047 0.5000 0.1934
Zn2 0.3610 0.5000 0.5533
Zn3 0.5171 0.5000 0.9368
Zn4 0.5361 0.0000 0.5208
Zn5 0.7431 0.5000 0.5699
Zn6 0.8820 0.0000 0.6105
```

Principal peaks in the range 5 to 70 degrees two-theta, low angle first:
- 5.79°, I 35
- 24.72°, I 50
- 25.39°, I 95
- 25.85°, I 74
- 27.85°, I 100
- 28.76°, I 49
- 29.24°, I 37
- 31.37°, I 39
- 36.37°, I 64
- 45.71°, I 34

=====

(4)
Simulated powder X-ray diffraction pattern of Zr2Be for a wavelength of 1.5418 Å, from a structure optimized by DFT (GGA-PBE).
Kinematic intensities with the Lorentz-polarization factor, no thermal factor.

```
data_Zr2Be
_cell_length_a 3.1820
_cell_length_b 14.9119
_cell_length_c 4.6753
_cell_angle_alpha 90.00
_cell_angle_beta 90.00
_cell_angle_gamma 90.00
_symmetry_space_group_name_H-M 'C m c m'
_symmetry_Int_Tables_number 63
_symmetry_space_group_name_Hall '-C 2c 2'
loop_
_atom_site_label
_atom_site_fract_x
_atom_site_fract_y
_atom_site_fract_z
Zr1 0.0000 0.0780 0.2500
Zr2 0.0000 0.2149 0.7500
Be1 0.0000 0.4348 0.2500
```

Principal peaks in the range 5 to 70 degrees two-theta, low angle first:
- 28.69°, I 36
- 30.67°, I 75
- 36.14°, I 15
- 38.51°, I 32
- 38.73°, I 100
- 48.72°, I 16
- 51.63°, I 23
- 66.22°, I 21
- 67.01°, I 15
- 69.81°, I 17

=====

(5)
Simulated powder X-ray diffraction pattern of Sm4C2Cl3F2 for a wavelength of 1.5418 Å, from a structure optimized by DFT (GGA-PBE).
Kinematic intensities with the Lorentz-polarization factor, no thermal factor.

```
data_Sm4C2Cl3F2
_cell_length_a 18.2867
_cell_length_b 3.7633
_cell_length_c 7.5273
_cell_angle_alpha 90.00
_cell_angle_beta 106.73
_cell_angle_gamma 90.00
_symmetry_space_group_name_H-M 'C 1 2/m 1'
_symmetry_Int_Tables_number 12
loop_
_symmetry_equiv_pos_as_xyz
'x,y,z'
'-x,-y,-z'
'-x,y,-z'
'x,-y,z'
'x+1/2,y+1/2,z'
'-x+1/2,-y+1/2,-z'
'-x+1/2,y+1/2,-z'
'x+1/2,-y+1/2,z'
loop_
_atom_site_label
_atom_site_fract_x
_atom_site_fract_y
_atom_site_fract_z
Sm1 0.0014 0.0000 0.2898
Sm2 0.1656 0.5000 0.6396
C1 0.0403 0.5000 0.5324
Cl1 0.0000 0.5000 0.0000
Cl2 0.1676 0.0000 0.3505
F1 0.1698 0.0000 0.8204
```

Principal peaks in the range 5 to 70 degrees two-theta, low angle first:
- 10.10°, I 45
- 12.28°, I 100
- 18.05°, I 28
- 28.21°, I 67
- 30.63°, I 83
- 33.74°, I 98
- 44.72°, I 41
- 47.66°, I 34
- 48.36°, I 29
- 58.35°, I 25

=====

(6)
Simulated powder X-ray diffraction pattern of K2Hg3Ge2S8 for a wavelength of 1.5418 Å, from a structure optimized by DFT (GGA-PBE).
Kinematic intensities with the Lorentz-polarization factor, no thermal factor.

```
data_K2Hg3Ge2S8
_cell_length_a 19.5201
_cell_length_b 9.7625
_cell_length_c 8.5748
_cell_angle_alpha 90.00
_cell_angle_beta 90.00
_cell_angle_gamma 90.00
_symmetry_space_group_name_H-M 'A e a 2'
_symmetry_Int_Tables_number 41
loop_
_symmetry_equiv_pos_as_xyz
'x,y,z'
'-x,-y,z'
'-x+1/2,y+1/2,z'
'x+1/2,-y+1/2,z'
'x,y+1/2,z+1/2'
'-x,-y+1/2,z+1/2'
'-x+1/2,y,z+1/2'
'x+1/2,-y,z+1/2'
loop_
_atom_site_label
_atom_site_fract_x
_atom_site_fract_y
_atom_site_fract_z
K1 0.1143 0.1997 0.0000
Hg1 0.0000 0.0000 0.3655
Hg2 0.2452 0.4557 0.2005
Ge1 0.1359 0.2110 0.5117
S1 0.0395 0.2307 0.3637
S2 0.1245 0.0191 0.6551
S3 0.1321 0.4010 0.6608
S4 0.2295 0.2087 0.3705
```

Principal peaks in the range 5 to 70 degrees two-theta, low angle first:
- 9.06°, I 47
- 14.48°, I 60
- 18.18°, I 40
- 19.39°, I 33
- 22.65°, I 70
- 25.82°, I 57
- 27.69°, I 100
- 29.20°, I 69
- 36.83°, I 45
- 39.37°, I 34

=====

(7)
Simulated powder X-ray diffraction pattern of DyMgCuTe3 for a wavelength of 1.5418 Å, from a structure optimized by DFT (GGA-PBE).
Kinematic intensities with the Lorentz-polarization factor, no thermal factor.

```
data_DyMgCuTe3
_cell_length_a 12.4716
_cell_length_b 4.1493
_cell_length_c 12.1658
_cell_angle_alpha 90.00
_cell_angle_beta 90.00
_cell_angle_gamma 90.00
_symmetry_space_group_name_H-M 'P n m a'
_symmetry_Int_Tables_number 62
loop_
_symmetry_equiv_pos_as_xyz
'x,y,z'
'-x,-y,-z'
'-x+1/2,-y,z+1/2'
'x+1/2,y,-z+1/2'
'x+1/2,-y+1/2,-z+1/2'
'-x+1/2,y+1/2,z+1/2'
'-x,y+1/2,-z'
'x,-y+1/2,z'
loop_
_atom_site_label
_atom_site_fract_x
_atom_site_fract_y
_atom_site_fract_z
Dy1 0.0486 0.2500 0.1919
Mg1 0.2203 0.2500 0.4596
Cu1 0.2422 0.7500 0.2844
Te1 0.0577 0.7500 0.3773
Te2 0.0998 0.2500 0.9309
Te3 0.2025 0.7500 0.6629
```

Principal peaks in the range 5 to 70 degrees two-theta, low angle first:
- 14.56°, I 48
- 23.75°, I 100
- 29.58°, I 79
- 30.82°, I 59
- 31.33°, I 69
- 31.67°, I 93
- 33.90°, I 83
- 34.09°, I 85
- 37.36°, I 54
- 43.61°, I 82

=====

(8)
Simulated powder X-ray diffraction pattern of LiAgTe4Ir2 for a wavelength of 1.5418 Å, from a structure optimized by DFT (GGA-PBE).
Kinematic intensities with the Lorentz-polarization factor, no thermal factor.

```
data_LiAgTe4Ir2
_cell_length_a 6.4317
_cell_length_b 6.4317
_cell_length_c 11.1439
_cell_angle_alpha 90.00
_cell_angle_beta 90.00
_cell_angle_gamma 90.00
_symmetry_space_group_name_H-M 'I -4'
_symmetry_Int_Tables_number 82
loop_
_symmetry_equiv_pos_as_xyz
'x,y,z'
'y,-x,-z'
'-x,-y,z'
'-y,x,-z'
'x+1/2,y+1/2,z+1/2'
'y+1/2,-x+1/2,-z+1/2'
'-x+1/2,-y+1/2,z+1/2'
'-y+1/2,x+1/2,-z+1/2'
loop_
_atom_site_label
_atom_site_fract_x
_atom_site_fract_y
_atom_site_fract_z
Li1 0.0000 0.0000 0.0000
Ag1 0.0000 0.5000 0.2500
Te1 0.2187 0.2514 0.6242
Ir1 0.0000 0.0000 0.5000
Ir2 0.0000 0.5000 0.7500
```

Principal peaks in the range 5 to 70 degrees two-theta, low angle first:
- 15.91°, I 37
- 25.28°, I 100
- 32.14°, I 9
- 39.63°, I 37
- 42.95°, I 50
- 47.59°, I 33
- 51.91°, I 11
- 53.28°, I 13
- 57.30°, I 10
- 68.40°, I 11

=====

(9)
Simulated powder X-ray diffraction pattern of PrGaAu2 for a wavelength of 1.5418 Å, from a structure optimized by DFT (GGA-PBE).
Kinematic intensities with the Lorentz-polarization factor, no thermal factor.

```
data_PrGaAu2
_cell_length_a 4.5145
_cell_length_b 6.4656
_cell_length_c 6.0720
_cell_angle_alpha 90.00
_cell_angle_beta 90.00
_cell_angle_gamma 90.00
_symmetry_space_group_name_H-M 'P m n 21'
_symmetry_Int_Tables_number 31
loop_
_symmetry_equiv_pos_as_xyz
'x,y,z'
'-x+1/2,-y,z+1/2'
'-x,y,z'
'x+1/2,-y,z+1/2'
loop_
_atom_site_label
_atom_site_fract_x
_atom_site_fract_y
_atom_site_fract_z
Pr1 0.0000 0.0886 0.0000
Ga1 0.0000 0.6118 0.2460
Au1 0.0000 0.2478 0.5113
Au2 0.0000 0.6514 0.7274
```

Principal peaks in the range 5 to 70 degrees two-theta, low angle first:
- 20.06°, I 22
- 24.57°, I 17
- 28.24°, I 21
- 32.58°, I 29
- 34.11°, I 47
- 37.28°, I 39
- 38.35°, I 100
- 39.94°, I 37
- 44.61°, I 17
- 52.46°, I 15

=====

(10)
Simulated powder X-ray diffraction pattern of Nb3BiB2 for a wavelength of 1.5418 Å, from a structure optimized by DFT (GGA-PBE).
Kinematic intensities with the Lorentz-polarization factor, no thermal factor.

```
data_Nb3BiB2
_cell_length_a 3.3762
_cell_length_b 3.3762
_cell_length_c 19.1244
_cell_angle_alpha 90.00
_cell_angle_beta 90.00
_cell_angle_gamma 120.00
_symmetry_space_group_name_H-M 'P 63/m m c'
_symmetry_Int_Tables_number 194
_symmetry_space_group_name_Hall '-P 6c 2c'
loop_
_atom_site_label
_atom_site_fract_x
_atom_site_fract_y
_atom_site_fract_z
Nb1 0.0000 0.0000 0.0000
Nb2 0.3333 0.6667 0.1287
Bi1 0.0000 0.0000 0.2500
B1 0.3333 0.6667 0.5693
```

Principal peaks in the range 5 to 70 degrees two-theta, low angle first:
- 9.25°, I 23
- 30.57°, I 19
- 30.94°, I 12
- 32.01°, I 11
- 36.00°, I 100
- 37.63°, I 21
- 49.23°, I 12
- 54.35°, I 25
- 66.90°, I 32
- 67.98°, I 22

=====

(11)
Simulated powder X-ray diffraction pattern of K3HfIF6 for a wavelength of 1.5418 Å, from a structure optimized by DFT (GGA-PBE).
Kinematic intensities with the Lorentz-polarization factor, no thermal factor.

```
data_K3HfIF6
_cell_length_a 8.1559
_cell_length_b 8.1559
_cell_length_c 6.1222
_cell_angle_alpha 90.00
_cell_angle_beta 90.00
_cell_angle_gamma 90.00
_symmetry_space_group_name_H-M 'P 4/m b m'
_symmetry_Int_Tables_number 127
_symmetry_space_group_name_Hall '-P 4 2ab'
loop_
_atom_site_label
_atom_site_fract_x
_atom_site_fract_y
_atom_site_fract_z
K1 0.0000 0.0000 0.0000
K2 0.1591 0.3409 0.5000
Hf1 0.0000 0.5000 0.0000
I1 0.0000 0.0000 0.5000
F1 0.1179 0.6179 0.2410
F2 0.1730 0.3270 0.0000
```

Principal peaks in the range 5 to 70 degrees two-theta, low angle first:
- 21.16°, I 100
- 21.79°, I 66
- 29.17°, I 28
- 31.01°, I 44
- 36.71°, I 32
- 37.85°, I 60
- 43.10°, I 35
- 50.01°, I 24
- 57.60°, I 19
- 58.95°, I 28

=====

(12)
Simulated powder X-ray diffraction pattern of GaAg15 for a wavelength of 1.5418 Å, from a structure optimized by DFT (GGA-PBE).
Kinematic intensities with the Lorentz-polarization factor, no thermal factor.

```
data_GaAg15
_cell_length_a 4.1246
_cell_length_b 4.1218
_cell_length_c 46.9949
_cell_angle_alpha 90.00
_cell_angle_beta 90.00
_cell_angle_gamma 90.00
_symmetry_space_group_name_H-M 'P m m a'
_symmetry_Int_Tables_number 51
loop_
_symmetry_equiv_pos_as_xyz
'x,y,z'
'-x,-y,-z'
'-x+1/2,-y,z'
'x+1/2,y,-z'
'x+1/2,-y,-z'
'-x+1/2,y,z'
'-x,y,-z'
'x,-y,z'
loop_
_atom_site_label
_atom_site_fract_x
_atom_site_fract_y
_atom_site_fract_z
Ga1 0.2500 0.0000 0.1645
Ag1 0.2500 0.0000 0.2537
Ag2 0.2500 0.0000 0.3432
Ag3 0.2500 0.0000 0.4328
Ag4 0.2500 0.0000 0.5223
Ag5 0.2500 0.0000 0.6119
Ag6 0.2500 0.0000 0.7015
Ag7 0.2500 0.0000 0.7915
Ag8 0.2500 0.5000 0.2086
Ag9 0.2500 0.5000 0.2985
Ag10 0.2500 0.5000 0.3880
Ag11 0.2500 0.5000 0.4776
Ag12 0.2500 0.5000 0.5671
Ag13 0.2500 0.5000 0.6566
Ag14 0.2500 0.5000 0.7463
Ag15 0.2500 0.5000 0.8361
```

Principal peaks in the range 5 to 70 degrees two-theta, low angle first:
- 35.26°, I 5
- 36.26°, I 6
- 37.34°, I 100
- 38.49°, I 26
- 42.31°, I 16
- 43.93°, I 41
- 44.33°, I 7
- 62.62°, I 18
- 63.86°, I 13
- 64.18°, I 9

=====

Copy entry 10 word for word.
Simulated powder X-ray diffraction pattern of Nb3BiB2 for a wavelength of 1.5418 Å, from a structure optimized by DFT (GGA-PBE).
Kinematic intensities with the Lorentz-polarization factor, no thermal factor.

```
data_Nb3BiB2
_cell_length_a 3.3762
_cell_length_b 3.3762
_cell_length_c 19.1244
_cell_angle_alpha 90.00
_cell_angle_beta 90.00
_cell_angle_gamma 120.00
_symmetry_space_group_name_H-M 'P 63/m m c'
_symmetry_Int_Tables_number 194
_symmetry_space_group_name_Hall '-P 6c 2c'
loop_
_atom_site_label
_atom_site_fract_x
_atom_site_fract_y
_atom_site_fract_z
Nb1 0.0000 0.0000 0.0000
Nb2 0.3333 0.6667 0.1287
Bi1 0.0000 0.0000 0.2500
B1 0.3333 0.6667 0.5693
```

Principal peaks in the range 5 to 70 degrees two-theta, low angle first:
- 9.25°, I 23
- 30.57°, I 19
- 30.94°, I 12
- 32.01°, I 11
- 36.00°, I 100
- 37.63°, I 21
- 49.23°, I 12
- 54.35°, I 25
- 66.90°, I 32
- 67.98°, I 22

=====

Which formula does entry 5 have?
Sm4C2Cl3F2